# 1
This entry pairs a crystal structure of MnCr3P4O16 with its calculated powder XRD pattern. Radiation: Cu Kα X-rays. Structure: the PBE+U geometry in Alexandria.

Crystal structure
Cell: 4.8053 5.8055 9.8710 Å, 90.00 90.83 90.00°
Space group Pm (No. 6)
Inequivalent atoms, fractional coordinates:
Mn1 0.0000 0.0000 0.0000 (multiplicity 1)
Cr1 0.1215 0.5000 0.4515 (multiplicity 1)
Cr2 0.5203 0.5000 0.9478 (multiplicity 1)
Cr3 0.6233 0.0000 0.4936 (multiplicity 1)
P1 0.1752 0.0000 0.3134 (multiplicity 1)
P2 0.4633 0.0000 0.8145 (multiplicity 1)
P3 0.6857 0.5000 0.6323 (multiplicity 1)
P4 0.9628 0.5000 0.1313 (multiplicity 1)
O1 0.2348 0.0000 0.1613 (multiplicity 1)
O2 0.2735 0.5000 0.1062 (multiplicity 1)
O3 0.3195 0.2094 0.8858 (multiplicity 2)
O4 0.3310 0.2063 0.3885 (multiplicity 2)
O5 0.3724 0.5000 0.6082 (multiplicity 1)
O6 0.4100 0.0000 0.6618 (multiplicity 1)
O7 0.7546 0.5000 0.7828 (multiplicity 1)
O8 0.7825 0.0000 0.8390 (multiplicity 1)
O9 0.8042 0.2956 0.0561 (multiplicity 2)
O10 0.8363 0.2936 0.5551 (multiplicity 2)
O11 0.8631 0.0000 0.3353 (multiplicity 1)
O12 0.9001 0.5000 0.2819 (multiplicity 1)

Principal peaks in the range 10 to 90 degrees two-theta, low angle first:
| (hkl) | d [Å] | two_theta | I (rel.) |
| --- | --- | --- | --- |
| 0 0 2 | 4.935 | 18.0 | 81 |
| 1 0 -1 | 4.345 | 20.4 | 58 |
| 1 0 1 | 4.296 | 20.7 | 48 |
| 0 1 2 | 3.760 | 23.7 | 35 |
| 1 1 -1 | 3.476 | 25.6 | 71 |
| 1 1 1 | 3.453 | 25.8 | 58 |
| 1 1 -2 | 2.977 | 30.0 | 25 |
| 0 2 0 | 2.903 | 30.8 | 100 |
| 1 1 -3 | 2.473 | 36.3 | 66 |
| 1 1 3 | 2.446 | 36.7 | 66 |

# 2
This entry pairs a crystal structure of Mn3CrP4O16 with its calculated powder XRD pattern. Radiation: Cu Kα X-rays. Structure: the PBE+U geometry in Alexandria.

Crystal structure
Cell: 4.8661 5.9682 9.8481 Å, 90.00 90.87 90.00°
Space group Pm (No. 6)
Inequivalent atoms, fractional coordinates:
Mn1 0.0000 0.0000 0.0000 (multiplicity 1)
Mn2 0.1549 0.5000 0.4337 (multiplicity 1)
Mn3 0.6578 0.0000 0.5051 (multiplicity 1)
Cr1 0.5273 0.5000 0.9419 (multiplicity 1)
P1 0.1725 0.0000 0.3165 (multiplicity 1)
P2 0.4742 0.0000 0.8155 (multiplicity 1)
P3 0.6834 0.5000 0.6222 (multiplicity 1)
P4 0.9766 0.5000 0.1228 (multiplicity 1)
O1 0.2187 0.0000 0.1617 (multiplicity 1)
O2 0.2840 0.5000 0.1000 (multiplicity 1)
O3 0.3224 0.2024 0.3852 (multiplicity 2)
O4 0.3329 0.2050 0.8856 (multiplicity 2)
O5 0.3692 0.5000 0.5969 (multiplicity 1)
O6 0.4244 0.0000 0.6608 (multiplicity 1)
O7 0.7404 0.5000 0.7750 (multiplicity 1)
O8 0.7902 0.0000 0.8378 (multiplicity 1)
O9 0.8186 0.3009 0.0486 (multiplicity 2)
O10 0.8272 0.2979 0.5507 (multiplicity 2)
O11 0.8604 0.0000 0.3404 (multiplicity 1)
O12 0.9167 0.5000 0.2752 (multiplicity 1)

Principal peaks in the range 10 to 90 degrees two-theta, low angle first:
| (hkl) | d [Å] | two_theta | I (rel.) |
| --- | --- | --- | --- |
| 0 0 2 | 4.923 | 18.0 | 64 |
| 1 0 -1 | 4.389 | 20.2 | 54 |
| 1 0 1 | 4.336 | 20.5 | 44 |
| 1 1 -1 | 3.536 | 25.2 | 34 |
| 1 1 1 | 3.508 | 25.4 | 38 |
| 1 1 -2 | 3.011 | 29.7 | 21 |
| 0 2 0 | 2.983 | 30.0 | 100 |
| 1 1 -3 | 2.490 | 36.1 | 38 |
| 1 1 3 | 2.464 | 36.5 | 61 |
| 0 4 0 | 1.492 | 62.2 | 24 |